Record 1
For Tl4HgPb4, a cell relaxed with GGA-PBE gives the simulated PXRD pattern in this record (Cu Kα (λ = 1.5418 Å)).
Neutral-atom scattering factors, no anomalous dispersion.

Most intense lines, 2θ from 10° to 90°, sorted by position:
2.886 Å, I = 50
2.750 Å, I = 100
2.738 Å, I = 13
2.041 Å, I = 15
1.639 Å, I = 25
1.564 Å, I = 16

Structure:
```
Tl4HgPb4
1.0
-6.1218 6.1218 1.8608
6.1218 -6.1218 1.8608
6.1218 6.1218 -1.8608
Tl Hg Pb
4 1 4
direct
0.1447 0.1748 0.3195
0.1748 0.8553 0.0301
0.8252 0.1447 0.9699
0.8553 0.8252 0.6805
0.5000 0.5000 0.0000
0.1617 0.4683 0.6300
0.4683 0.8383 0.3066
0.5317 0.1617 0.6934
0.8383 0.5317 0.3700
```

=====

Record 2
For MgTi2O4, a cell relaxed with GGA-PBE gives the simulated PXRD pattern in this record (Cu Kα (λ = 1.5418 Å)).
Neutral-atom scattering factors, no anomalous dispersion.

Most intense lines, 2θ from 10° to 90°, sorted by position:
4.911 Å, I = 57
2.571 Å, I = 90
2.562 Å, I = 56
2.133 Å, I = 100
1.516 Å, I = 57
1.501 Å, I = 58

Structure:
```
MgTi2O4
1.0
6.0052 0.0000 0.0000
-3.0026 5.2007 0.0000
0.0000 0.0000 14.9263
Mg Ti O
6 12 24
direct
0.0000 0.0000 0.0000
0.0000 0.0000 0.2423
0.3333 0.6667 0.3258
0.3333 0.6667 0.5846
0.3333 0.6667 0.9533
0.6667 0.3333 0.6505
0.0000 0.0000 0.6312
0.1531 0.3063 0.7816
0.1531 0.8469 0.7816
0.3181 0.1591 0.4548
0.5049 0.0097 0.1186
0.5049 0.4951 0.1186
0.6667 0.3333 0.2916
0.6667 0.3333 0.9020
0.6937 0.8469 0.7816
0.8409 0.1591 0.4548
0.8409 0.6819 0.4548
0.9903 0.4951 0.1186
0.0000 0.0000 0.3733
0.0000 0.0000 0.8679
0.0130 0.5065 0.8660
0.1556 0.3112 0.5358
0.1556 0.8444 0.5358
0.1788 0.3576 0.0447
0.1788 0.8212 0.0447
0.3298 0.1649 0.7034
0.3333 0.6667 0.1926
0.3333 0.6667 0.7172
0.3614 0.1807 0.2023
0.4935 0.5065 0.8660
0.4935 0.9870 0.8660
0.5122 0.0244 0.3736
0.5122 0.4878 0.3736
0.6424 0.8212 0.0447
0.6667 0.3333 0.0310
0.6667 0.3333 0.5209
0.6888 0.8444 0.5358
0.8193 0.1807 0.2023
0.8193 0.6386 0.2023
0.8351 0.1649 0.7034
0.8351 0.6702 0.7034
0.9756 0.4878 0.3736
```

=====

Record 3
For Na3PaPd2Se6, a cell relaxed with GGA-PBE gives the simulated PXRD pattern in this record (Cu Kα (λ = 1.5418 Å)).
Neutral-atom scattering factors, no anomalous dispersion.

Most intense lines, 2θ from 10° to 90°, sorted by position:
7.186 Å, I = 70
3.300 Å, I = 17
2.838 Å, I = 100
2.264 Å, I = 20
2.097 Å, I = 37
1.928 Å, I = 33

Structure:
```
Na3PaPd2Se6
1.0
3.3391 -5.7831 0.0000
3.3391 5.7831 0.0000
-2.2347 0.0000 7.1855
Na Pa Pd Se
3 1 2 6
direct
0.0000 0.0000 0.0000
0.3364 0.6636 0.0000
0.6636 0.3364 0.0000
0.5000 0.5000 0.5000
0.1666 0.8334 0.5000
0.8334 0.1666 0.5000
0.0802 0.4275 0.2831
0.2247 0.2247 0.7162
0.4275 0.0802 0.2831
0.5725 0.9198 0.7169
0.7753 0.7753 0.2838
0.9198 0.5725 0.7169
```